(1)
For Gd5Pb4, a cell relaxed with PBE gives the computed powder X-ray diffraction pattern in this record (λ = 1.5418 Å (Cu Kα)).

Largest 10 diffraction maxima, by intensity, 10 to 90 degrees two-theta:
- d 3.035, intensity 100
- d 2.694, intensity 59
- d 2.598, intensity 56
- d 3.022, intensity 40
- d 2.932, intensity 36
- d 2.611, intensity 35
- d 2.576, intensity 32
- d 2.773, intensity 31
- d 2.623, intensity 27
- d 2.862, intensity 26

Unit cell a=8.247 b=15.738 c=8.339 alpha=90.00 beta=90.00 gamma=90.00
Fractional coordinates of all 36 atoms:
Gd: 0.033 0.100 0.177
Gd: 0.033 0.400 0.177
Gd: 0.124 0.620 0.342
Gd: 0.124 0.880 0.342
Gd: 0.209 0.250 0.503
Gd: 0.291 0.750 0.003
Gd: 0.376 0.120 0.842
Gd: 0.376 0.380 0.842
Gd: 0.467 0.600 0.677
Gd: 0.467 0.900 0.677
Gd: 0.533 0.100 0.323
Gd: 0.533 0.400 0.323
Gd: 0.624 0.620 0.158
Gd: 0.624 0.880 0.158
Gd: 0.709 0.250 0.997
Gd: 0.791 0.750 0.497
Gd: 0.876 0.120 0.658
Gd: 0.876 0.380 0.658
Gd: 0.967 0.600 0.823
Gd: 0.967 0.900 0.823
Pb: 0.072 0.250 0.876
Pb: 0.156 0.750 0.650
Pb: 0.218 0.043 0.534
Pb: 0.218 0.457 0.534
Pb: 0.282 0.543 0.034
Pb: 0.282 0.957 0.034
Pb: 0.344 0.250 0.150
Pb: 0.428 0.750 0.376
Pb: 0.572 0.250 0.624
Pb: 0.656 0.750 0.850
Pb: 0.718 0.043 0.966
Pb: 0.718 0.457 0.966
Pb: 0.782 0.543 0.466
Pb: 0.782 0.957 0.466
Pb: 0.844 0.250 0.350
Pb: 0.928 0.750 0.124

***

(2)
For Gd2TmPdPt2Pb3, a cell relaxed with PBE gives the computed powder X-ray diffraction pattern in this record (λ = 1.5418 Å (Cu Kα)).

Largest 10 diffraction maxima, by intensity, 10 to 90 degrees two-theta:
- d 2.775, intensity 100
- d 2.568, intensity 50
- d 2.541, intensity 35
- d 2.248, intensity 29
- d 2.561, intensity 28
- d 1.982, intensity 25
- d 1.437, intensity 23
- d 2.139, intensity 21
- d 2.552, intensity 20
- d 1.564, intensity 18

Unit cell a=3.964 b=7.762 c=7.762 alpha=119.68 beta=90.00 gamma=90.00
Fractional coordinates of all 9 atoms:
Gd: 0.000 0.204 0.796
Gd: 0.000 0.796 0.204
Tm: 0.000 0.611 0.611
Pd: 0.000 0.207 0.207
Pt: 0.500 0.538 0.865
Pt: 0.500 0.865 0.538
Pb: 0.500 0.203 0.465
Pb: 0.500 0.465 0.203
Pb: 0.500 0.943 0.943

***

(3)
For PrGd2Pt3Pb3, a cell relaxed with PBE gives the computed powder X-ray diffraction pattern in this record (λ = 1.5418 Å (Cu Kα)).

Largest 10 diffraction maxima, by intensity, 10 to 90 degrees two-theta:
- d 2.599, intensity 100
- d 2.817, intensity 99
- d 2.554, intensity 36
- d 2.246, intensity 35
- d 2.164, intensity 35
- d 2.039, intensity 31
- d 1.449, intensity 29
- d 1.510, intensity 20
- d 1.593, intensity 17
- d 2.255, intensity 17

Unit cell a=4.077 b=7.802 c=7.802 alpha=120.28 beta=90.00 gamma=90.00
Fractional coordinates of all 9 atoms:
Pr: 0.000 0.000 0.000
Gd: 0.000 0.406 0.812
Gd: 0.000 0.812 0.406
Pt: 0.000 0.412 0.412
Pt: 0.500 0.075 0.735
Pt: 0.500 0.735 0.075
Pb: 0.500 0.148 0.407
Pb: 0.500 0.407 0.148
Pb: 0.500 0.667 0.667

***

(4)
For GdPtPb, a cell relaxed with PBE gives the computed powder X-ray diffraction pattern in this record (λ = 1.5418 Å (Cu Kα)).

Largest 10 diffraction maxima, by intensity, 10 to 90 degrees two-theta:
- d 2.717, intensity 100
- d 2.388, intensity 80
- d 2.856, intensity 57
- d 2.306, intensity 55
- d 2.760, intensity 32
- d 2.349, intensity 27
- d 2.001, intensity 26
- d 1.504, intensity 25
- d 2.872, intensity 21
- d 2.093, intensity 20

Unit cell a=7.341 b=4.612 c=8.372 alpha=90.00 beta=90.00 gamma=90.00
Fractional coordinates of all 12 atoms:
Gd: 0.009 0.250 0.186
Gd: 0.491 0.750 0.686
Gd: 0.509 0.250 0.314
Gd: 0.991 0.750 0.814
Pt: 0.242 0.750 0.406
Pt: 0.258 0.250 0.906
Pt: 0.742 0.750 0.094
Pt: 0.758 0.250 0.594
Pb: 0.165 0.250 0.581
Pb: 0.335 0.750 0.081
Pb: 0.665 0.250 0.919
Pb: 0.835 0.750 0.419

***

(5)
For Gd3Sn2Pb5, a cell relaxed with PBE gives the computed powder X-ray diffraction pattern in this record (λ = 1.5418 Å (Cu Kα)).

Largest 10 diffraction maxima, by intensity, 10 to 90 degrees two-theta:
- d 2.787, intensity 100
- d 2.577, intensity 18
- d 2.358, intensity 16
- d 2.328, intensity 16
- d 1.431, intensity 14
- d 1.417, intensity 13
- d 1.525, intensity 12
- d 1.657, intensity 11
- d 1.739, intensity 11
- d 1.727, intensity 11

Unit cell a=13.097 b=13.097 c=4.656 alpha=90.00 beta=90.00 gamma=159.26
Fractional coordinates of all 10 atoms:
Gd: 0.000 0.000 0.000
Gd: 0.187 0.813 0.000
Gd: 0.813 0.187 0.000
Sn: 0.098 0.902 0.500
Sn: 0.902 0.098 0.500
Pb: 0.294 0.706 0.500
Pb: 0.403 0.597 0.000
Pb: 0.500 0.500 0.500
Pb: 0.597 0.403 0.000
Pb: 0.706 0.294 0.500

***

(6)
For Gd3Sn2Pb5, a cell relaxed with PBE gives the computed powder X-ray diffraction pattern in this record (λ = 1.5418 Å (Cu Kα)).

Largest 10 diffraction maxima, by intensity, 10 to 90 degrees two-theta:
- d 2.789, intensity 100
- d 2.594, intensity 19
- d 2.355, intensity 16
- d 2.324, intensity 16
- d 1.532, intensity 14
- d 1.430, intensity 13
- d 1.416, intensity 13
- d 1.743, intensity 12
- d 1.731, intensity 12
- d 1.395, intensity 11

Unit cell a=13.174 b=13.174 c=4.710 alpha=90.00 beta=90.00 gamma=159.68
Fractional coordinates of all 10 atoms:
Gd: 0.000 0.000 0.000
Gd: 0.191 0.809 0.000
Gd: 0.809 0.191 0.000
Sn: 0.291 0.709 0.500
Sn: 0.709 0.291 0.500
Pb: 0.099 0.901 0.500
Pb: 0.402 0.598 0.000
Pb: 0.500 0.500 0.500
Pb: 0.598 0.402 0.000
Pb: 0.901 0.099 0.500

***

(7)
For Gd3Sn5Pb2, a cell relaxed with PBE gives the computed powder X-ray diffraction pattern in this record (λ = 1.5418 Å (Cu Kα)).

Largest 10 diffraction maxima, by intensity, 10 to 90 degrees two-theta:
- d 2.753, intensity 100
- d 2.579, intensity 18
- d 2.339, intensity 17
- d 2.268, intensity 15
- d 1.418, intensity 14
- d 1.386, intensity 13
- d 1.376, intensity 12
- d 1.520, intensity 12
- d 1.732, intensity 11
- d 1.628, intensity 11

Unit cell a=13.091 b=13.091 c=4.677 alpha=90.00 beta=90.00 gamma=160.05
Fractional coordinates of all 10 atoms:
Gd: 0.000 0.000 0.000
Gd: 0.189 0.811 0.000
Gd: 0.811 0.189 0.000
Sn: 0.291 0.709 0.500
Sn: 0.404 0.596 0.000
Sn: 0.500 0.500 0.500
Sn: 0.596 0.404 0.000
Sn: 0.709 0.291 0.500
Pb: 0.098 0.902 0.500
Pb: 0.902 0.098 0.500

***

(8)
For Gd3Sn5Pb2, a cell relaxed with PBE gives the computed powder X-ray diffraction pattern in this record (λ = 1.5418 Å (Cu Kα)).

Largest 10 diffraction maxima, by intensity, 10 to 90 degrees two-theta:
- d 2.755, intensity 100
- d 2.307, intensity 32
- d 1.404, intensity 26
- d 1.717, intensity 22
- d 2.571, intensity 18
- d 1.517, intensity 12
- d 1.631, intensity 11
- d 1.377, intensity 11
- d 1.111, intensity 10
- d 1.153, intensity 4

Unit cell a=13.061 b=13.061 c=4.611 alpha=90.00 beta=90.00 gamma=159.64
Fractional coordinates of all 10 atoms:
Gd: 0.000 0.000 0.000
Gd: 0.189 0.811 0.000
Gd: 0.811 0.189 0.000
Sn: 0.098 0.902 0.500
Sn: 0.291 0.709 0.500
Sn: 0.500 0.500 0.500
Sn: 0.709 0.291 0.500
Sn: 0.902 0.098 0.500
Pb: 0.403 0.597 0.000
Pb: 0.597 0.403 0.000

***

(9)
For Gd3Sn2Pb5, a cell relaxed with PBE gives the computed powder X-ray diffraction pattern in this record (λ = 1.5418 Å (Cu Kα)).

Largest 10 diffraction maxima, by intensity, 10 to 90 degrees two-theta:
- d 2.791, intensity 100
- d 2.585, intensity 18
- d 2.361, intensity 16
- d 2.329, intensity 16
- d 1.433, intensity 14
- d 1.418, intensity 13
- d 1.529, intensity 13
- d 1.658, intensity 11
- d 1.743, intensity 11
- d 1.730, intensity 11

Unit cell a=13.134 b=13.134 c=4.722 alpha=90.00 beta=90.00 gamma=159.58
Fractional coordinates of all 10 atoms:
Gd: 0.000 0.000 0.000
Gd: 0.187 0.813 0.000
Gd: 0.813 0.187 0.000
Sn: 0.403 0.597 0.000
Sn: 0.597 0.403 0.000
Pb: 0.098 0.902 0.500
Pb: 0.294 0.706 0.500
Pb: 0.500 0.500 0.500
Pb: 0.706 0.294 0.500
Pb: 0.902 0.098 0.500

***

(10)
For Gd3Sn5Pb2, a cell relaxed with PBE gives the computed powder X-ray diffraction pattern in this record (λ = 1.5418 Å (Cu Kα)).

Largest 10 diffraction maxima, by intensity, 10 to 90 degrees two-theta:
- d 2.752, intensity 100
- d 2.309, intensity 33
- d 1.404, intensity 26
- d 1.714, intensity 20
- d 2.557, intensity 17
- d 1.633, intensity 12
- d 1.511, intensity 10
- d 1.376, intensity 10
- d 1.109, intensity 8
- d 1.155, intensity 4

Unit cell a=12.992 b=12.992 c=4.618 alpha=90.00 beta=90.00 gamma=159.52
Fractional coordinates of all 10 atoms:
Gd: 0.000 0.000 0.000
Gd: 0.184 0.816 0.000
Gd: 0.816 0.184 0.000
Sn: 0.096 0.904 0.500
Sn: 0.405 0.595 0.000
Sn: 0.500 0.500 0.500
Sn: 0.595 0.405 0.000
Sn: 0.904 0.096 0.500
Pb: 0.294 0.706 0.500
Pb: 0.706 0.294 0.500

***

(11)
For TbGd2Sn4Pb3, a cell relaxed with PBE gives the computed powder X-ray diffraction pattern in this record (λ = 1.5418 Å (Cu Kα)).

Largest 10 diffraction maxima, by intensity, 10 to 90 degrees two-theta:
- d 2.763, intensity 100
- d 2.317, intensity 33
- d 1.409, intensity 26
- d 1.721, intensity 21
- d 2.571, intensity 17
- d 1.638, intensity 11
- d 1.519, intensity 11
- d 1.382, intensity 10
- d 1.114, intensity 9
- d 1.158, intensity 4

Unit cell a=13.063 b=13.063 c=4.634 alpha=90.00 beta=90.00 gamma=159.57
Fractional coordinates of all 10 atoms:
Tb: 0.000 0.000 0.000
Gd: 0.185 0.815 0.000
Gd: 0.815 0.185 0.000
Sn: 0.096 0.904 0.500
Sn: 0.404 0.596 0.000
Sn: 0.596 0.404 0.000
Sn: 0.904 0.096 0.500
Pb: 0.293 0.707 0.500
Pb: 0.500 0.500 0.500
Pb: 0.707 0.293 0.500

***

(12)
For TbGd2Sn5Pb2, a cell relaxed with PBE gives the computed powder X-ray diffraction pattern in this record (λ = 1.5418 Å (Cu Kα)).

Largest 10 diffraction maxima, by intensity, 10 to 90 degrees two-theta:
- d 2.751, intensity 100
- d 2.576, intensity 18
- d 2.338, intensity 17
- d 2.265, intensity 15
- d 1.417, intensity 14
- d 1.384, intensity 13
- d 1.519, intensity 12
- d 1.731, intensity 11
- d 1.627, intensity 11
- d 1.375, intensity 11

Unit cell a=13.077 b=13.077 c=4.675 alpha=90.00 beta=90.00 gamma=160.05
Fractional coordinates of all 10 atoms:
Tb: 0.000 0.000 0.000
Gd: 0.189 0.811 0.000
Gd: 0.811 0.189 0.000
Sn: 0.291 0.709 0.500
Sn: 0.404 0.596 0.000
Sn: 0.500 0.500 0.500
Sn: 0.596 0.404 0.000
Sn: 0.709 0.291 0.500
Pb: 0.098 0.902 0.500
Pb: 0.902 0.098 0.500

***

(13)
For Tb2GdSn5Pb2, a cell relaxed with PBE gives the computed powder X-ray diffraction pattern in this record (λ = 1.5418 Å (Cu Kα)).

Largest 10 diffraction maxima, by intensity, 10 to 90 degrees two-theta:
- d 2.749, intensity 100
- d 2.307, intensity 33
- d 1.403, intensity 26
- d 1.711, intensity 20
- d 2.552, intensity 17
- d 1.631, intensity 12
- d 1.508, intensity 11
- d 1.375, intensity 10
- d 1.108, intensity 8
- d 1.154, intensity 4

Unit cell a=12.967 b=12.967 c=4.613 alpha=90.00 beta=90.00 gamma=159.49
Fractional coordinates of all 10 atoms:
Tb: 0.184 0.816 0.000
Tb: 0.816 0.184 0.000
Gd: 0.000 0.000 0.000
Sn: 0.096 0.904 0.500
Sn: 0.405 0.595 0.000
Sn: 0.500 0.500 0.500
Sn: 0.595 0.405 0.000
Sn: 0.904 0.096 0.500
Pb: 0.294 0.706 0.500
Pb: 0.706 0.294 0.500